The following is a computed powder diffractogram of Li8Cd2Sn. It was derived from a structure optimized by DFT (PBE), using Cu Kα (weighted mean of Kα1 and Kα2).

Principal peaks in the range 2θ = 15–90°, most intense first:
| d (Å) | intensity | hkl |
| --- | --- | --- |
| 3.707 | 100.0 | 1 3 0 |
| 3.634 | 68.7 | 0 2 1 |
| 4.318 | 58.3 | 1 1 -1 |
| 3.540 | 52.9 | 2 0 0 |
| 2.073 | 46.3 | 3 3 0 |
| 3.062 | 41.4 | 2 2 -1 |

Structural model:
abc: 7.650 13.051 4.726
angles: 90.00 112.25 90.00
Space group C2/m (No. 12)
Symmetry-distinct sites (fractional):
Li  0.000  0.211  0.000 [4 per cell]
Li  0.116  0.500  0.817 [4 per cell]
Li  0.192  0.107  0.618 [8 per cell]
Cd  0.000  0.315  0.500 [4 per cell]
Sn  0.000  0.000  0.000 [2 per cell]